Entry 1:
This entry pairs a crystal structure of NaCu6O8 with its calculated powder XRD pattern. Radiation: copper Kα. Structure: a crystal structure in the Materials Project, relaxed with GGA-PBE.
No peak broadening, texture or thermal motion is included.

Main lines, by intensity (2θ = 5–70°):
2θ = 33.9°, intensity 100.0
2θ = 56.8°, intensity 45.2
2θ = 67.8°, intensity 35.8
2θ = 19.4°, intensity 35.8
2θ = 39.3°, intensity 27.4
2θ = 27.5°, intensity 15.0
2θ = 16.8°, intensity 10.4
2θ = 48.7°, intensity 7.8
2θ = 43.0°, intensity 6.2
2θ = 44.2°, intensity 5.5
2θ = 60.6°, intensity 4.9
2θ = 64.3°, intensity 3.8

Cell and atoms:
```
15
Lattice="0.000 4.583 4.583 4.583 0.000 4.583 4.583 4.583 0.000" Properties=species:S:1:pos:R:3 pbc="T T T"
Na 0.000 0.000 0.000
Cu 2.291 2.291 0.000
Cu 2.291 0.000 2.291
Cu 4.583 2.291 2.291
Cu 0.000 2.291 2.291
Cu 2.291 4.583 2.291
Cu 2.291 2.291 4.583
O 1.328 1.328 1.328
O 3.255 3.255 1.328
O 3.255 1.328 3.255
O 7.838 5.910 5.910
O 1.328 3.255 3.255
O 5.910 7.838 5.910
O 5.910 5.910 7.838
O 7.838 7.838 7.838
```

Entry 2:
This entry pairs a crystal structure of BaLiSnBiO6 with its calculated powder XRD pattern. Radiation: copper Kα. Structure: a crystal structure in the Materials Project, relaxed with GGA-PBE.
No peak broadening, texture or thermal motion is included.

Main lines, by intensity (2θ = 5–70°):
2θ = 30.2°, intensity 100.0
2θ = 53.6°, intensity 42.2
2θ = 21.2°, intensity 32.5
2θ = 43.2°, intensity 32.0
2θ = 18.3°, intensity 27.3
2θ = 62.7°, intensity 20.3
2θ = 35.5°, intensity 16.4
2θ = 48.6°, intensity 14.9
2θ = 47.3°, intensity 7.4
2θ = 67.0°, intensity 7.1
2θ = 57.1°, intensity 5.5
2θ = 65.9°, intensity 5.4

Cell and atoms:
```
10
Lattice="0.000 4.190 4.190 4.190 0.000 4.190 4.190 4.190 0.000" Properties=species:S:1:pos:R:3 pbc="T T T"
Ba 0.000 0.000 0.000
Li 4.190 4.190 4.190
Sn 6.286 6.286 6.286
Bi 2.095 2.095 2.095
O 6.286 6.286 4.216
O 6.286 4.216 6.286
O 8.355 6.286 6.286
O 4.216 6.286 6.286
O 6.286 8.355 6.286
O 6.286 6.286 8.355
```

Entry 3:
This entry pairs a crystal structure of Ca2Al2SiO8 with its calculated powder XRD pattern. Radiation: copper Kα. Structure: a crystal structure in the Materials Project, relaxed with GGA-PBE.
No peak broadening, texture or thermal motion is included.

Main lines, by intensity (2θ = 5–70°):
2θ = 24.4°, intensity 100.0
2θ = 31.6°, intensity 70.9
2θ = 24.6°, intensity 47.0
2θ = 42.9°, intensity 38.4
2θ = 32.0°, intensity 37.9
2θ = 34.9°, intensity 37.0
2θ = 58.7°, intensity 33.7
2θ = 50.0°, intensity 20.0
2θ = 60.5°, intensity 19.8
2θ = 58.3°, intensity 16.7
2θ = 43.2°, intensity 16.7
2θ = 43.4°, intensity 15.2

Cell and atoms:
```
26
Lattice="-4.478 4.478 4.415 4.478 -4.478 4.415 4.478 4.478 -4.415" Properties=species:S:1:pos:R:3 pbc="T T T"
Ca 3.114 3.114 -1.348
Ca 1.364 1.364 3.067
Ca 1.364 -1.364 5.762
Ca 3.114 5.842 1.348
Al 2.257 0.000 0.000
Al 6.698 0.000 0.000
Al 0.000 2.257 0.000
Al 0.000 6.698 0.000
Si 4.478 0.000 2.207
Si 0.000 4.478 2.207
O 3.306 -0.682 1.281
O 3.163 -3.163 3.744
O 5.649 0.682 1.281
O 1.315 1.315 0.671
O 5.160 -1.171 3.133
O 0.874 -0.874 3.487
O 3.796 1.171 3.133
O -0.874 0.874 3.487
O 3.603 3.603 0.927
O -0.682 3.306 1.281
O 0.874 0.874 5.342
O 0.682 5.649 1.281
O -3.163 3.163 3.744
O 1.171 3.796 3.133
O 3.163 3.163 5.085
O -1.171 5.160 3.133
```

Entry 4:
This entry pairs a crystal structure of Er2Ge3 with its calculated powder XRD pattern. Radiation: copper Kα. Structure: a crystal structure in the Materials Project, relaxed with GGA-PBE.
No peak broadening, texture or thermal motion is included.

Main lines, by intensity (2θ = 5–70°):
2θ = 34.9°, intensity 100.0
2θ = 41.1°, intensity 51.6
2θ = 23.4°, intensity 37.1
2θ = 55.0°, intensity 27.2
2θ = 68.8°, intensity 18.9
2θ = 26.7°, intensity 11.5
2θ = 52.5°, intensity 7.1
2θ = 57.8°, intensity 5.0
2θ = 58.2°, intensity 4.2
2θ = 47.9°, intensity 3.7
2θ = 64.8°, intensity 3.1
2θ = 45.8°, intensity 3.0

Cell and atoms:
```
5
Lattice="6.971 0.000 0.000 0.000 2.192 3.807 0.000 -2.192 3.807" Properties=species:S:1:pos:R:3 pbc="T T T"
Er 1.597 0.000 0.000
Er 5.374 0.000 0.000
Ge 0.000 0.000 5.081
Ge 3.485 0.000 2.541
Ge 3.485 0.000 5.076
```

Entry 5:
This entry pairs a crystal structure of Zn2AsO5 with its calculated powder XRD pattern. Radiation: copper Kα. Structure: a crystal structure in the Materials Project, relaxed with GGA-PBE.
No peak broadening, texture or thermal motion is included.

Main lines, by intensity (2θ = 5–70°):
2θ = 29.5°, intensity 100.0
2θ = 36.2°, intensity 79.4
2θ = 33.0°, intensity 73.7
2θ = 17.9°, intensity 64.5
2θ = 14.7°, intensity 61.6
2θ = 36.4°, intensity 57.1
2θ = 18.0°, intensity 47.3
2θ = 20.7°, intensity 45.3
2θ = 57.1°, intensity 43.2
2θ = 32.9°, intensity 35.3
2θ = 36.6°, intensity 35.0
2θ = 56.7°, intensity 33.9

Cell and atoms:
```
32
Lattice="8.480 0.000 0.000 0.000 8.623 0.000 0.000 0.000 6.071" Properties=species:S:1:pos:R:3 pbc="T T T"
Zn 0.000 0.000 1.490
Zn 0.000 0.000 4.581
Zn 1.220 3.222 3.035
Zn 3.020 7.534 0.000
Zn 4.240 4.312 1.546
Zn 4.240 4.312 4.525
Zn 5.460 1.089 0.000
Zn 7.260 5.401 3.035
As 2.047 6.458 3.035
As 2.193 2.147 0.000
As 6.287 6.477 0.000
As 6.433 2.165 3.035
O 0.832 5.226 3.035
O 1.102 7.966 0.000
O 1.153 7.960 3.035
O 1.211 2.031 1.407
O 1.211 2.031 4.664
O 3.029 6.342 1.629
O 3.029 6.342 4.442
O 3.087 3.648 0.000
O 3.139 3.655 3.035
O 3.408 0.915 0.000
O 5.072 7.709 0.000
O 5.342 4.969 3.035
O 5.393 4.975 0.000
O 5.451 2.281 1.629
O 5.451 2.281 4.442
O 7.269 6.593 1.407
O 7.269 6.593 4.664
O 7.327 0.663 3.035
O 7.379 0.657 0.000
O 7.648 3.397 3.035
```

Entry 6:
This entry pairs a crystal structure of Si with its calculated powder XRD pattern. Radiation: copper Kα. Structure: a crystal structure in the Materials Project, relaxed with GGA-PBE.
No peak broadening, texture or thermal motion is included.

Main lines, by intensity (2θ = 5–70°):
2θ = 19.8°, intensity 100.0
2θ = 31.8°, intensity 97.4
2θ = 52.2°, intensity 86.1
2θ = 19.4°, intensity 63.6
2θ = 17.4°, intensity 57.8
2θ = 54.0°, intensity 57.8
2θ = 21.8°, intensity 51.5
2θ = 36.2°, intensity 48.8
2θ = 32.8°, intensity 48.2
2θ = 20.1°, intensity 47.9
2θ = 40.6°, intensity 33.6
2θ = 54.8°, intensity 28.4

Cell and atoms:
```
40
Lattice="10.221 0.000 0.000 -5.111 8.852 0.000 0.000 0.000 10.389" Properties=species:S:1:pos:R:3 pbc="T T T"
Si -1.238 2.144 0.000
Si -1.943 3.365 1.946
Si -1.943 3.365 8.443
Si -3.168 5.487 1.946
Si -3.168 5.487 8.443
Si -3.873 6.708 0.000
Si 0.000 2.343 5.194
Si -3.082 7.681 5.194
Si 0.000 3.707 3.246
Si 0.000 3.707 7.143
Si -1.900 6.998 3.246
Si -1.900 6.998 7.143
Si 2.476 0.000 0.000
Si 1.238 2.144 0.000
Si 2.029 1.171 5.194
Si 0.000 5.901 4.028
Si 0.000 5.901 6.361
Si 3.886 0.000 1.946
Si 3.886 0.000 8.443
Si 1.943 3.365 1.946
Si 1.943 3.365 8.443
Si 3.210 1.854 3.246
Si 3.210 1.854 7.143
Si 1.900 6.998 3.246
Si 1.900 6.998 7.143
Si 6.336 0.000 1.946
Si 6.336 0.000 8.443
Si 3.168 5.487 1.946
Si 3.168 5.487 8.443
Si 5.111 2.951 4.028
Si 5.111 2.951 6.361
Si 3.082 7.681 5.194
Si 7.746 0.000 0.000
Si 3.873 6.708 0.000
Si 7.011 1.854 3.246
Si 7.011 1.854 7.143
Si 5.111 5.145 3.246
Si 5.111 5.145 7.143
Si 8.193 1.171 5.194
Si 5.111 6.509 5.194
```

Entry 7:
This entry pairs a crystal structure of KCa2Nb3O10 with its calculated powder XRD pattern. Radiation: copper Kα. Structure: a crystal structure in the Materials Project, relaxed with GGA-PBE.
No peak broadening, texture or thermal motion is included.

Main lines, by intensity (2θ = 5–70°):
2θ = 5.9°, intensity 100.0
2θ = 28.9°, intensity 65.7
2θ = 32.2°, intensity 57.1
2θ = 30.8°, intensity 53.2
2θ = 22.7°, intensity 38.1
2θ = 22.6°, intensity 27.5
2θ = 45.9°, intensity 27.3
2θ = 56.5°, intensity 24.4
2θ = 23.8°, intensity 24.3
2θ = 51.5°, intensity 23.7
2θ = 46.1°, intensity 21.8
2θ = 42.3°, intensity 21.5

Cell and atoms:
```
32
Lattice="1.976 -14.968 0.000 1.976 14.968 0.000 0.000 0.000 7.872" Properties=species:S:1:pos:R:3 pbc="T T T"
K 1.976 7.690 3.936
K 1.976 -7.690 0.000
Ca 1.976 12.819 4.018
Ca 1.976 12.684 0.032
Ca 1.976 -12.684 3.968
Ca 1.976 -12.819 0.082
Nb 1.976 4.297 5.946
Nb 1.976 4.243 1.950
Nb 1.976 0.057 5.881
Nb 1.976 -0.057 1.945
Nb 1.976 -4.243 5.886
Nb 1.976 -4.297 2.010
O 1.976 -14.957 1.662
O 1.976 14.957 5.598
O 1.976 11.201 5.865
O 1.976 11.139 2.016
O 1.976 6.078 6.222
O 1.976 6.017 1.648
O 1.976 4.228 3.934
O 1.976 3.540 0.001
O 1.976 1.959 5.353
O 1.976 1.867 2.392
O 1.976 0.552 7.737
O 1.976 -0.552 3.801
O 1.976 -1.867 6.328
O 1.976 -1.959 1.417
O 1.976 -3.540 3.937
O 1.976 -4.228 7.870
O 1.976 -6.017 5.584
O 1.976 -6.078 2.285
O 1.976 -11.139 5.952
O 1.976 -11.201 1.929
```

Entry 8:
This entry pairs a crystal structure of TmCuSi with its calculated powder XRD pattern. Radiation: copper Kα. Structure: a crystal structure in the Materials Project, relaxed with GGA-PBE.
No peak broadening, texture or thermal motion is included.

Main lines, by intensity (2θ = 5–70°):
2θ = 35.2°, intensity 100.0
2θ = 43.8°, intensity 40.4
2θ = 24.9°, intensity 35.8
2θ = 57.4°, intensity 24.2
2θ = 68.8°, intensity 20.7
2θ = 50.2°, intensity 9.0
2θ = 56.8°, intensity 7.9
2θ = 51.1°, intensity 5.4
2θ = 27.8°, intensity 4.8
2θ = 69.6°, intensity 4.4
2θ = 24.5°, intensity 4.1
2θ = 50.8°, intensity 4.0

Cell and atoms:
```
6
Lattice="4.129 0.000 0.000 -2.065 3.576 0.000 0.000 0.000 7.276" Properties=species:S:1:pos:R:3 pbc="T T T"
Tm 0.000 0.000 0.000
Tm 0.000 0.000 3.638
Cu 0.000 2.384 1.819
Cu 2.065 1.192 5.457
Si 0.000 2.384 5.457
Si 2.065 1.192 1.819
```